Theoretical XRD peak list of RbAl3C for Cu Kα (λ = 1.5418 Å), from a cell relaxed with GGA-PBE.

Largest 10 diffraction maxima, in order of falling intensity, 2θ = 5–70°:
d [Å]  I_rel  hkl
2.691  100  1 1 1
2.330  63  2 0 0
3.295  53  1 1 0
1.648  42  2 2 0
1.405  40  3 1 1
4.660  25  1 0 0
1.903  20  2 1 1
2.084  14  2 1 0
1.345  14  2 2 2
1.474  8  3 1 0

Structure:
abc: 4.6604 4.6604 4.6604
angles: 90.00 90.00 90.00
Space group Pm-3m (No. 221)
One atom of each set of equivalent atoms:
Rb  0.0000  0.0000  0.0000 x1
Al  0.0000  0.5000  0.5000 x3
C  0.5000  0.5000  0.5000 x1



Theoretical XRD peak list of SmAlRu2C for Cu Kα (λ = 1.5418 Å), from a cell relaxed with GGA-PBE.

Largest 10 diffraction maxima, in order of falling intensity, 2θ = 5–70°:
d [Å]  I_rel  hkl
2.614  100  1 1 2
2.728  52  1 3 0
2.554  26  1 3 1
1.486  24  1 7 0
3.051  23  0 2 2
2.225  23  0 2 3
1.996  22  2 0 0
1.522  21  1 5 3
3.341  16  1 1 1
1.587  13  2 4 1

Structure:
abc: 3.9928 11.2050 7.2740
angles: 90.00 90.00 90.00
Space group Cmcm (No. 63)
One atom of each set of equivalent atoms:
Sm  0.0000  0.0498  0.2500 x4
Al  0.0000  0.2275  0.7500 x4
Ru  0.0000  0.3367  0.0571 x8
C  0.0000  0.5000  0.0000 x4



Theoretical XRD peak list of SrAlRu2C for Cu Kα (λ = 1.5418 Å), from a cell relaxed with GGA-PBE.

Largest 10 diffraction maxima, in order of falling intensity, 2θ = 5–70°:
d [Å]  I_rel  hkl
2.465  100  1 1 1
2.147  38  2 0 0
1.505  24  2 0 2
2.111  18  0 0 2
1.519  12  2 2 0
4.222  12  0 0 1
3.011  9  1 0 1
3.037  6  1 1 0
4.295  5  1 0 0
1.914  5  2 0 1

Structure:
abc: 4.2950 4.2950 4.2223
angles: 90.00 90.00 90.00
Space group P4/mmm (No. 123)
One atom of each set of equivalent atoms:
Sr  0.0000  0.0000  0.0000 x1
Al  0.5000  0.5000  0.0000 x1
Ru  0.0000  0.5000  0.5000 x2
C  0.5000  0.5000  0.5000 x1